Structure and computed XRD peak list of Y3SOF5 (a DFT-relaxed cell (PBE, the Materials Project); Cu Kα, 1.54184 Å).
Peak positions follow from Bragg's law for the DFT cell and can differ from measured ones.

Structure:
Cell: 9.427 3.690 9.484 Å, 90.00 119.52 90.00°
Space group Pm (No. 6)
One atom of each set of equivalent atoms:
Y: 0.000 0.000 0.000 x1
Y: 0.106 0.500 0.689 x1
Y: 0.284 0.000 0.451 x1
Y: 0.406 0.500 0.183 x1
Y: 0.578 0.500 0.870 x1
Y: 0.835 0.000 0.315 x1
S: 0.028 0.500 0.247 x1
S: 0.372 0.000 0.918 x1
O: 0.086 0.000 0.534 x1
O: 0.265 0.000 0.198 x1
F: 0.132 0.500 0.960 x1
F: 0.324 0.500 0.632 x1
F: 0.430 0.500 0.437 x1
F: 0.543 0.000 0.705 x1
F: 0.590 0.000 0.312 x1
F: 0.657 0.500 0.153 x1
F: 0.749 0.000 0.019 x1
F: 0.822 0.500 0.869 x1
F: 0.846 0.500 0.468 x1
F: 0.976 0.000 0.748 x1

Principal peaks in the range 10 to 90 degrees two-theta, sorted by position:
h k l	2theta	Rel. int.
1 1 0	26.48	43.9
2 0 1	28.68	100.0
3 0 -2	28.95	43.2
1 1 -2	30.68	55.5
0 1 2	32.59	50.8
1 1 2	37.79	41.5
3 1 -1	37.98	62.9
3 1 -4	47.00	42.6
0 2 0	49.40	41.8
5 0 -1	51.14	55.9

=====

Structure and computed XRD peak list of SbOF (a DFT-relaxed cell (PBE, the Materials Project); Cu Kα, 1.54184 Å).
Peak positions follow from Bragg's law for the DFT cell and can differ from measured ones.

Structure:
Cell: 7.060 10.776 9.375 Å, 90.00 105.19 90.00°
Space group P2_1/c (No. 14)
One atom of each set of equivalent atoms:
Sb: 0.026 0.219 0.045 x4
Sb: 0.253 0.028 0.402 x4
Sb: 0.455 0.667 0.280 x4
O: 0.246 0.141 0.211 x4
O: 0.250 0.172 0.533 x4
O: 0.461 0.560 0.102 x4
F: 0.073 0.100 0.899 x4
F: 0.126 0.655 0.163 x4
F: 0.429 0.679 0.664 x4

Principal peaks in the range 10 to 90 degrees two-theta, sorted by position:
h k l	2theta	Rel. int.
0 1 1	12.78	22.7
1 1 -1	16.31	17.7
0 2 1	19.17	41.3
1 0 -2	20.52	12.4
1 0 2	26.39	100.0
0 3 1	26.72	39.5
1 1 -3	30.26	14.6
2 2 0	31.06	34.1
3 0 -2	39.45	24.1
3 3 -3	50.38	11.6